No. 1
Starting from a crystal structure in Alexandria, relaxed with GGA-PBE, the X-ray diffraction stick pattern of RbZnSClO4 was calculated for a wavelength of 1.5418 Å.

Main lines, by angle (15° ≤ 2θ ≤ 90°):
- 2θ 23.56, intensity 99
- 2θ 26.86, intensity 100
- 2θ 26.98, intensity 78
- 2θ 27.64, intensity 91
- 2θ 29.05, intensity 32
- 2θ 29.19, intensity 45
- 2θ 29.88, intensity 53
- 2θ 32.67, intensity 34

Crystal structure
```
RbZnSClO4
1.0
7.364 0.000 0.000
0.000 9.827 0.000
-0.966 0.000 8.562
Rb Zn S Cl O
4 4 4 4 16
Direct
0.134 0.075 0.306 Rb
0.134 0.425 0.806 Rb
0.866 0.575 0.194 Rb
0.866 0.925 0.694 Rb
0.405 0.694 0.453 Zn
0.405 0.806 0.953 Zn
0.595 0.194 0.047 Zn
0.595 0.306 0.547 Zn
0.402 0.075 0.738 S
0.402 0.425 0.238 S
0.598 0.575 0.762 S
0.598 0.925 0.262 S
0.124 0.684 0.519 Cl
0.124 0.816 0.019 Cl
0.876 0.184 0.981 Cl
0.876 0.316 0.481 Cl
0.221 0.061 0.652 O
0.221 0.439 0.152 O
0.391 0.170 0.874 O
0.391 0.330 0.374 O
0.460 0.627 0.863 O
0.460 0.873 0.363 O
0.480 0.559 0.298 O
0.480 0.941 0.798 O
0.520 0.059 0.202 O
0.520 0.441 0.702 O
0.540 0.127 0.637 O
0.540 0.373 0.137 O
0.609 0.670 0.626 O
0.609 0.830 0.126 O
0.779 0.561 0.848 O
0.779 0.939 0.348 O
```

---

No. 2
Starting from a crystal structure in Alexandria, relaxed with GGA-PBE, the X-ray diffraction stick pattern of Rb5SeCl2O4 was calculated for a wavelength of 1.5418 Å.

Main lines, by angle (15° ≤ 2θ ≤ 90°):
- 2θ 25.23, intensity 83
- 2θ 25.37, intensity 36
- 2θ 26.21, intensity 37
- 2θ 28.21, intensity 100
- 2θ 34.84, intensity 24
- 2θ 36.80, intensity 60
- 2θ 41.88, intensity 20
- 2θ 49.30, intensity 26

Crystal structure
```
Rb5SeCl2O4
1.0
8.847 0.000 0.000
0.000 5.315 3.511
0.000 -5.315 3.511
Rb Se Cl O
5 1 2 4
Direct
0.000 0.000 0.000 Rb
0.293 0.232 0.599 Rb
0.293 0.599 0.232 Rb
0.707 0.232 0.599 Rb
0.707 0.599 0.232 Rb
0.500 0.925 0.925 Se
0.000 0.468 0.885 Cl
0.000 0.885 0.468 Cl
0.336 0.080 0.080 O
0.500 0.631 0.906 O
0.500 0.906 0.631 O
0.664 0.080 0.080 O
```

---

No. 3
Starting from a crystal structure in Alexandria, relaxed with GGA-PBE, the X-ray diffraction stick pattern of RbYSeCl2O3 was calculated for a wavelength of 1.5418 Å.

Main lines, by angle (15° ≤ 2θ ≤ 90°):
- 2θ 20.82, intensity 38
- 2θ 21.68, intensity 35
- 2θ 22.57, intensity 33
- 2θ 25.42, intensity 100
- 2θ 29.43, intensity 55
- 2θ 30.52, intensity 32
- 2θ 31.45, intensity 32
- 2θ 40.79, intensity 30

Crystal structure
```
RbYSeCl2O3
1.0
6.639 0.000 0.000
0.178 7.104 0.000
2.447 1.406 8.532
Rb Y Se Cl O
2 2 2 4 6
Direct
0.235 0.224 0.394 Rb
0.765 0.776 0.606 Rb
0.141 0.753 0.978 Y
0.859 0.247 0.022 Y
0.371 0.258 0.916 Se
0.629 0.742 0.084 Se
0.116 0.682 0.283 Cl
0.240 0.827 0.666 Cl
0.760 0.173 0.334 Cl
0.884 0.318 0.717 Cl
0.181 0.076 0.985 O
0.185 0.430 0.970 O
0.499 0.238 0.058 O
0.501 0.762 0.942 O
0.815 0.570 0.030 O
0.819 0.924 0.015 O
```

---

No. 4
Starting from a crystal structure in Alexandria, relaxed with GGA-PBE, the X-ray diffraction stick pattern of Re2Cl2O7 was calculated for a wavelength of 1.5418 Å.

Main lines, by angle (15° ≤ 2θ ≤ 90°):
- 2θ 16.71, intensity 100
- 2θ 19.61, intensity 46
- 2θ 22.30, intensity 56
- 2θ 22.99, intensity 46
- 2θ 23.38, intensity 61
- 2θ 25.33, intensity 56
- 2θ 26.53, intensity 47
- 2θ 33.77, intensity 38

Crystal structure
```
Re2Cl2O7
1.0
4.235 0.000 0.000
-1.743 6.196 0.000
-2.021 -0.740 9.053
Re Cl O
2 2 7
Direct
0.241 0.328 0.324 Re
0.759 0.672 0.676 Re
0.423 0.675 0.200 Cl
0.577 0.325 0.800 Cl
0.157 0.654 0.670 O
0.229 0.297 0.131 O
0.237 0.070 0.373 O
0.500 0.500 0.500 O
0.763 0.930 0.627 O
0.771 0.703 0.869 O
0.843 0.346 0.330 O
```